[1]
Ac6Mg2N: simulated powder XRD pattern (λ = 1.5418 Å (Cu Kα)), based on a DFT-relaxed cell (PBE, Alexandria).
Peak positions follow from Bragg's law for the DFT cell and can differ from measured ones.

Atomic structure:
Lattice parameters (Å, degrees): 7.716 7.716 10.877 90.00 90.00 90.00
Positions (direct):
1 Ac 0.000 0.000 0.243
2 Ac 0.000 0.000 0.757
3 Ac 0.239 0.242 0.000
4 Ac 0.242 0.761 0.000
5 Ac 0.258 0.261 0.500
6 Ac 0.261 0.742 0.500
7 Ac 0.500 0.500 0.257
8 Ac 0.500 0.500 0.743
9 Ac 0.739 0.258 0.500
10 Ac 0.742 0.739 0.500
11 Ac 0.758 0.239 0.000
12 Ac 0.761 0.758 0.000
13 Mg 0.000 0.500 0.250
14 Mg 0.000 0.500 0.750
15 Mg 0.500 0.000 0.250
16 Mg 0.500 0.000 0.750
17 N 0.000 0.000 0.000
18 N 0.500 0.500 0.500

Principal peaks in the range 2θ = 10–80°, by intensity:
2theta  d [Å]  intensity
28.36  3.147  100
47.17  1.927  39
32.83  2.728  36
55.91  1.645  30
16.26  5.450  25
23.08  3.854  18

***

[2]
AcTb9Dy2: simulated powder XRD pattern (λ = 1.5418 Å (Cu Kα)), based on a DFT-relaxed cell (PBE, Alexandria).
Peak positions follow from Bragg's law for the DFT cell and can differ from measured ones.

Atomic structure:
Lattice parameters (Å, degrees): 5.077 5.077 15.252 90.00 90.00 90.00
Positions (direct):
1 Ac 0.000 0.000 0.000
2 Tb 0.000 0.500 0.174
3 Tb 0.000 0.500 0.500
4 Tb 0.000 0.500 0.826
5 Tb 0.500 0.000 0.174
6 Tb 0.500 0.000 0.500
7 Tb 0.500 0.000 0.826
8 Tb 0.500 0.500 0.000
9 Tb 0.500 0.500 0.337
10 Tb 0.500 0.500 0.663
11 Dy 0.000 0.000 0.336
12 Dy 0.000 0.000 0.664

Principal peaks in the range 2θ = 10–80°, by intensity:
2theta  d [Å]  intensity
30.48  2.932  100
35.34  2.539  51
60.45  1.531  42
50.85  1.796  36
63.44  1.466  12
74.81  1.269  4